# V2NiOs
Theoretical powder XRD pattern, a wavelength of 1.5418 Å. Input: a cell relaxed with PBE.
Intensities are scaled so that the largest is 100.

Atomic structure:
```
data_V2NiOs
_chemical_formula_sum 'V2 Ni1 Os1'
_cell_length_a 3.0824
_cell_length_b 3.0824
_cell_length_c 5.4710
_cell_angle_alpha 90.00
_cell_angle_beta 90.00
_cell_angle_gamma 90.00
_symmetry_space_group_name_H-M 'P 4/m m m'
_symmetry_Int_Tables_number 123
_symmetry_space_group_name_Hall '-P 4 2'
loop_
_atom_site_label
_atom_site_fract_x
_atom_site_fract_y
_atom_site_fract_z
V1 0.0000 0.0000 0.2351
Ni1 0.5000 0.5000 0.0000
Os1 0.5000 0.5000 0.5000
```

Top 8 peaks for 10° ≤ 2θ ≤ 90°, by angle:
5.471 Å, rel. 31, hkl 0 0 1
3.082 Å, rel. 29, hkl 1 0 0
2.685 Å, rel. 31, hkl 1 0 1
2.180 Å, rel. 61, hkl 1 1 0
2.046 Å, rel. 100, hkl 1 0 2
1.541 Å, rel. 20, hkl 2 0 0
1.231 Å, rel. 36, hkl 2 1 2
1.159 Å, rel. 15, hkl 1 1 4

=====

# SrLi2SbS4
Theoretical powder XRD pattern, a wavelength of 1.5418 Å. Input: a cell relaxed with PBE.
Intensities are scaled so that the largest is 100.

Atomic structure:
```
data_SrLi2SbS4
_chemical_formula_sum 'Sr4 Li8 Sb4 S16'
_cell_length_a 7.7362
_cell_length_b 8.0023
_cell_length_c 11.1005
_cell_angle_alpha 90.00
_cell_angle_beta 90.00
_cell_angle_gamma 90.00
_symmetry_space_group_name_H-M 'I m m a'
_symmetry_Int_Tables_number 74
_symmetry_space_group_name_Hall '-I 2b 2'
loop_
_atom_site_label
_atom_site_fract_x
_atom_site_fract_y
_atom_site_fract_z
Sr1 0.0000 0.0000 0.0000
Li1 0.0000 0.0000 0.5000
Li2 0.2500 0.2500 0.2500
Sb1 0.2500 0.2500 0.7500
S1 0.0000 0.0082 0.7372
S2 0.2297 0.2500 0.5128
```

Top 8 peaks for 10° ≤ 2θ ≤ 90°, by angle:
6.491 Å, rel. 67, hkl 0 1 1
6.347 Å, rel. 19, hkl 1 0 1
3.385 Å, rel. 14, hkl 1 2 1
3.323 Å, rel. 24, hkl 2 1 1
2.779 Å, rel. 100, hkl 2 2 0
2.001 Å, rel. 12, hkl 0 4 0
1.964 Å, rel. 45, hkl 2 2 4
1.623 Å, rel. 12, hkl 0 4 4

=====

# UNiSe3
Theoretical powder XRD pattern, a wavelength of 1.5418 Å. Input: a cell relaxed with PBE.
Intensities are scaled so that the largest is 100.

Atomic structure:
```
data_UNiSe3
_chemical_formula_sum 'U4 Ni4 Se12'
_cell_length_a 7.4038
_cell_length_b 8.8721
_cell_length_c 6.2504
_cell_angle_alpha 90.00
_cell_angle_beta 90.00
_cell_angle_gamma 90.00
_symmetry_space_group_name_H-M 'P n m a'
_symmetry_Int_Tables_number 62
_symmetry_space_group_name_Hall '-P 2ac 2n'
loop_
_atom_site_label
_atom_site_fract_x
_atom_site_fract_y
_atom_site_fract_z
U1 0.1362 0.2500 0.0694
Ni1 0.0000 0.0000 0.5000
Se1 0.0344 0.7500 0.3495
Se2 0.1676 0.5508 0.8350
```

Top 8 peaks for 10° ≤ 2θ ≤ 90°, by angle:
4.205 Å, rel. 100, hkl 1 1 1
2.739 Å, rel. 74, hkl 1 1 2
2.587 Å, rel. 68, hkl 2 2 1
2.514 Å, rel. 67, hkl 1 3 1
2.415 Å, rel. 54, hkl 1 2 2
2.309 Å, rel. 81, hkl 2 3 0
2.295 Å, rel. 66, hkl 3 0 1
2.219 Å, rel. 59, hkl 0 4 0

=====

# ScI2O2
Theoretical powder XRD pattern, a wavelength of 1.5418 Å. Input: a cell relaxed with PBE.
Intensities are scaled so that the largest is 100.

Atomic structure:
```
data_ScI2O2
_chemical_formula_sum 'Sc1 I2 O2'
_cell_length_a 4.2196
_cell_length_b 4.2196
_cell_length_c 6.6405
_cell_angle_alpha 90.00
_cell_angle_beta 90.00
_cell_angle_gamma 90.00
_symmetry_space_group_name_H-M 'P 4/m m m'
_symmetry_Int_Tables_number 123
_symmetry_space_group_name_Hall '-P 4 2'
loop_
_atom_site_label
_atom_site_fract_x
_atom_site_fract_y
_atom_site_fract_z
Sc1 0.0000 0.0000 0.0000
I1 0.0000 0.0000 0.5000
I2 0.5000 0.5000 0.5000
O1 0.0000 0.5000 0.0000
```

Top 8 peaks for 10° ≤ 2θ ≤ 90°, by angle:
6.640 Å, rel. 100, hkl 0 0 1
3.320 Å, rel. 77, hkl 0 0 2
2.984 Å, rel. 72, hkl 1 1 0
2.722 Å, rel. 94, hkl 1 1 1
2.219 Å, rel. 63, hkl 1 1 2
2.110 Å, rel. 41, hkl 2 0 0
1.780 Å, rel. 73, hkl 2 0 2
1.238 Å, rel. 25, hkl 3 1 2

=====

# PrNdSc4
Theoretical powder XRD pattern, a wavelength of 1.5418 Å. Input: a cell relaxed with PBE.
Intensities are scaled so that the largest is 100.

Atomic structure:
```
data_PrNdSc4
_chemical_formula_sum 'Pr4 Nd4 Sc16'
_cell_length_a 6.6307
_cell_length_b 18.7392
_cell_length_c 5.4094
_cell_angle_alpha 90.00
_cell_angle_beta 90.00
_cell_angle_gamma 90.00
_symmetry_space_group_name_H-M 'C m c m'
_symmetry_Int_Tables_number 63
_symmetry_space_group_name_Hall '-C 2c 2'
loop_
_atom_site_label
_atom_site_fract_x
_atom_site_fract_y
_atom_site_fract_z
Pr1 0.0000 0.1247 0.2500
Nd1 0.0000 0.3747 0.7500
Sc1 0.2491 0.4584 0.2500
Sc2 0.2503 0.2084 0.7500
```

Top 8 peaks for 10° ≤ 2θ ≤ 90°, by angle:
4.685 Å, rel. 30, hkl 0 2 1
2.706 Å, rel. 100, hkl 0 6 1
1.913 Å, rel. 20, hkl 2 4 2
1.562 Å, rel. 31, hkl 0 12 0
1.413 Å, rel. 12, hkl 4 6 1
1.353 Å, rel. 7, hkl 0 12 2
1.210 Å, rel. 11, hkl 2 10 3
1.137 Å, rel. 5, hkl 4 12 0

=====

# Na3Cd8In4
Theoretical powder XRD pattern, a wavelength of 1.5418 Å. Input: a cell relaxed with PBE.
Intensities are scaled so that the largest is 100.

Atomic structure:
```
data_Na3Cd8In4
_chemical_formula_sum 'Na24 Cd64 In32'
_cell_length_a 14.4521
_cell_length_b 14.4521
_cell_length_c 14.4521
_cell_angle_alpha 90.00
_cell_angle_beta 90.00
_cell_angle_gamma 90.00
_symmetry_space_group_name_H-M 'F m -3 m'
_symmetry_Int_Tables_number 225
_symmetry_space_group_name_Hall '-F 4 2 3'
loop_
_atom_site_label
_atom_site_fract_x
_atom_site_fract_y
_atom_site_fract_z
Na1 0.0000 0.0000 0.2458
Cd1 0.1318 0.1318 0.3682
Cd2 0.1367 0.1367 0.1367
In1 0.0000 0.0000 0.0000
In2 0.0000 0.0000 0.5000
In3 0.0000 0.2500 0.2500
```

Top 8 peaks for 10° ≤ 2θ ≤ 90°, by angle:
4.172 Å, rel. 18, hkl 2 2 2
3.613 Å, rel. 8, hkl 4 0 0
2.555 Å, rel. 100, hkl 4 4 0
2.179 Å, rel. 10, hkl 6 2 2
1.807 Å, rel. 16, hkl 8 0 0
1.475 Å, rel. 30, hkl 8 4 4
1.277 Å, rel. 8, hkl 8 8 0
1.143 Å, rel. 11, hkl 12 4 0